No. 1
KErP2S7: computed powder X-ray diffraction pattern (a wavelength of 1.5418 Å), based on a PBE-relaxed structure.
No peak broadening, texture or thermal motion is included.

Structure:
```
KErP2S7
1.0
9.7350 0.0000 0.0000
0.0000 12.5079 0.0000
-0.0054 0.0000 9.0156
K Er P S
4 4 8 28
direct
0.1067 0.1886 0.3685
0.1067 0.3114 0.8685
0.8933 0.6886 0.1315
0.8933 0.8114 0.6315
0.3622 0.6423 0.8940
0.3622 0.8577 0.3940
0.6378 0.1423 0.6060
0.6378 0.3577 0.1060
0.2307 0.6086 0.5241
0.2307 0.8914 0.0241
0.3234 0.0325 0.6976
0.3234 0.4675 0.1976
0.6766 0.5325 0.8024
0.6766 0.9675 0.3024
0.7693 0.1086 0.9759
0.7693 0.3914 0.4759
0.1367 0.7141 0.3869
0.1367 0.7859 0.8869
0.1396 0.5595 0.7132
0.1396 0.9405 0.2132
0.1763 0.5337 0.0679
0.1763 0.9663 0.5679
0.2590 0.0456 0.9234
0.2590 0.4544 0.4234
0.3532 0.1893 0.6455
0.3532 0.3107 0.1455
0.4114 0.6805 0.5819
0.4114 0.8195 0.0819
0.4988 0.5545 0.1767
0.4988 0.9455 0.6767
0.5012 0.0545 0.3233
0.5012 0.4455 0.8233
0.5886 0.1805 0.9181
0.5886 0.3195 0.4181
0.6468 0.6893 0.8545
0.6468 0.8107 0.3545
0.7410 0.5456 0.5766
0.7410 0.9544 0.0766
0.8237 0.0337 0.4321
0.8237 0.4663 0.9321
0.8604 0.0595 0.7868
0.8604 0.4405 0.2868
0.8633 0.2141 0.1131
0.8633 0.2859 0.6131
```

Principal peaks in the range 2θ from 15° to 90°, sorted by position:
2θ 17.3, I 62
2θ 19.5, I 79
2θ 22.9, I 43
2θ 25.2, I 100
2θ 34.4, I 38
2θ 38.0, I 34
2θ 39.7, I 34
2θ 40.5, I 47


No. 2
KHfP2Se8: computed powder X-ray diffraction pattern (a wavelength of 1.5418 Å), based on a PBE-relaxed structure.
No peak broadening, texture or thermal motion is included.

Structure:
```
KHfP2Se8
1.0
6.4215 0.0000 0.0000
-3.2108 5.5612 0.0000
0.0000 0.0000 9.3253
K Hf P Se
1 1 2 8
direct
0.0000 0.0000 0.0000
0.0000 0.0000 0.5000
0.3333 0.6667 0.7306
0.6667 0.3333 0.2694
0.0138 0.6672 0.3342
0.3328 0.3466 0.3342
0.3333 0.6667 0.9647
0.3466 0.0138 0.6658
0.6534 0.9862 0.3342
0.6667 0.3333 0.0353
0.6672 0.6534 0.6658
0.9862 0.3328 0.6658
```

Principal peaks in the range 2θ from 15° to 90°, sorted by position:
2θ 18.6, I 67
2θ 24.9, I 27
2θ 28.7, I 21
2θ 29.4, I 70
2θ 33.6, I 21
2θ 33.9, I 100
2θ 48.2, I 44
2θ 49.1, I 46


No. 3
LaB4Rh6: computed powder X-ray diffraction pattern (a wavelength of 1.5418 Å), based on a PBE-relaxed structure.
No peak broadening, texture or thermal motion is included.

Structure:
```
LaB4Rh6
1.0
0.0000 4.0823 4.1316
4.0791 0.0000 4.1316
4.0791 4.0823 0.0000
La B Rh
1 4 6
direct
0.0000 0.0000 0.0000
0.2929 0.5611 0.4389
0.4386 0.7054 0.5614
0.5611 0.2929 0.7071
0.7054 0.4386 0.2946
0.9999 0.9999 0.5001
0.0919 0.4814 0.9081
0.4814 0.0919 0.5186
0.4999 0.4999 0.0001
0.5185 0.9078 0.0922
0.9078 0.5185 0.4815
```

Principal peaks in the range 2θ from 15° to 90°, sorted by position:
2θ 30.8, I 15
2θ 36.1, I 14
2θ 36.5, I 46
2θ 38.0, I 100
2θ 43.8, I 15
2θ 44.4, I 28
2θ 64.2, I 14
2θ 67.9, I 14


No. 4
Sr3Al2Pd4: computed powder X-ray diffraction pattern (a wavelength of 1.5418 Å), based on a PBE-relaxed structure.
No peak broadening, texture or thermal motion is included.

Structure:
```
Sr3Al2Pd4
1.0
5.6866 -2.1440 0.0000
5.6866 2.1440 0.0000
-1.6836 0.0000 8.8389
Sr Al Pd
3 2 4
direct
0.0000 0.0000 0.0000
0.3793 0.3793 0.6160
0.6207 0.6207 0.3840
0.3214 0.3214 0.2092
0.6786 0.6786 0.7908
0.0943 0.0943 0.6450
0.2723 0.2723 0.9117
0.7277 0.7277 0.0883
0.9057 0.9057 0.3550
```

Principal peaks in the range 2θ from 15° to 90°, sorted by position:
2θ 17.1, I 36
2θ 23.8, I 30
2θ 25.0, I 52
2θ 31.8, I 53
2θ 35.3, I 100
2θ 35.5, I 44
2θ 39.2, I 70
2θ 42.1, I 45